No. 1
Calculated X-ray diffraction stick pattern of CsUF6 for a wavelength of 1.5418 Å, from a GGA-PBE-relaxed structure.
Intensities are scaled so that the largest is 100.

Most intense lines, 2θ = 10–90°, in order of rising 2θ:
Position (°2θ)  intensity
16.1  26
21.5  100
24.1  78
32.5  30
37.7  20
39.3  59
43.8  28
54.4  24

Structure:
```
data_CsUF6
_chemical_formula_sum 'Cs1 U1 F6'
_cell_length_a 5.5679
_cell_length_b 5.5679
_cell_length_c 5.5679
_cell_angle_alpha 95.71
_cell_angle_beta 95.71
_cell_angle_gamma 95.71
_space_group_name_H-M_alt 'P 1'
_space_group_IT_number 1
_space_group_name_Hall 'P 1'
loop_
_atom_site_label
_atom_site_type_symbol
_atom_site_fract_x
_atom_site_fract_y
_atom_site_fract_z
Cs1 Cs 0.0000 0.0000 0.0000
U1 U 0.5000 0.5000 0.5000
F1 F 0.1871 0.2979 0.5811
F2 F 0.2979 0.5811 0.1871
F3 F 0.4189 0.8129 0.7021
F4 F 0.5811 0.1871 0.2979
F5 F 0.7021 0.4189 0.8129
F6 F 0.8129 0.7021 0.4189
```

No. 2
Calculated X-ray diffraction stick pattern of Cs3UF6 for a wavelength of 1.5418 Å, from a GGA-PBE-relaxed structure.
Intensities are scaled so that the largest is 100.

Most intense lines, 2θ = 10–90°, in order of rising 2θ:
Position (°2θ)  intensity
14.6  17
23.6  77
24.1  100
33.6  24
35.1  17
41.8  55
42.8  31
49.4  16

Structure:
```
data_Cs3UF6
_chemical_formula_sum 'Cs3 U1 F6'
_cell_length_a 7.3870
_cell_length_b 7.3870
_cell_length_c 7.3870
_cell_angle_alpha 118.57
_cell_angle_beta 118.57
_cell_angle_gamma 92.50
_space_group_name_H-M_alt 'P 1'
_space_group_IT_number 1
_space_group_name_Hall 'P 1'
loop_
_atom_site_label
_atom_site_type_symbol
_atom_site_fract_x
_atom_site_fract_y
_atom_site_fract_z
Cs1 Cs 0.0000 0.0000 0.0000
Cs2 Cs 0.2500 0.7500 0.5000
Cs3 Cs 0.7500 0.2500 0.5000
U1 U 0.5000 0.5000 0.0000
F1 F 0.2048 0.5000 0.7048
F2 F 0.2727 0.2727 0.0000
F3 F 0.5000 0.2048 0.7048
F4 F 0.5000 0.7952 0.2952
F5 F 0.7273 0.7273 0.0000
F6 F 0.7952 0.5000 0.2952
```